[1]
For PuNp2Te4, a cell relaxed with PBE gives the computed powder diffraction line list in this record (CuKα).
Peak positions follow from Bragg's law for the DFT cell and can differ from measured ones.

Main lines, in order of falling intensity (2θ = 10–90°):
two_theta	I/Imax	h k l
30.35	100.0	1 3 2
28.49	97.1	1 3 1
21.73	90.7	0 2 3
41.98	78.4	0 6 3
37.10	75.8	1 1 5
26.92	47.7	0 2 4
41.78	42.1	2 0 0
39.64	41.9	1 5 2
60.73	31.1	2 6 3
27.85	31.0	1 3 0
71.83	28.4	1 7 8
62.53	27.7	2 4 6

Cell: 4.3235 14.3124 14.9483 Å, 90.00 90.00 90.00°
Space group Cmcm (No. 63)
Unique sites:
Pu 0.0000 0.1143 0.2500 [4 per cell]
Np 0.0000 0.3638 0.0651 [8 per cell]
Te 0.0000 0.0000 0.0000 [4 per cell]
Te 0.0000 0.2768 0.6262 [8 per cell]
Te 0.0000 0.4548 0.2500 [4 per cell]

---

[2]
For Rb5NpS5, a cell relaxed with PBE gives the computed powder diffraction line list in this record (CuKα).
Peak positions follow from Bragg's law for the DFT cell and can differ from measured ones.

Main lines, in order of falling intensity (2θ = 10–90°):
two_theta	I/Imax	h k l
23.70	100.0	3 1 0
24.62	86.1	1 1 -2
27.84	83.5	2 0 2
29.14	83.1	0 2 0
10.45	80.2	0 0 1
26.91	70.7	4 0 -2
15.74	58.7	1 1 0
40.74	58.4	2 2 2
48.51	50.0	6 2 0
40.08	47.5	4 2 -2
37.91	30.5	6 0 0
34.88	30.3	5 1 -2

Cell: 15.0841 6.1295 8.9597 Å, 90.00 109.18 90.00°
Space group C2/m (No. 12)
Unique sites:
Rb 0.0000 0.0000 0.0000 [2 per cell]
Rb 0.1740 0.5000 0.3470 [4 per cell]
Rb 0.1939 0.5000 0.8055 [4 per cell]
Np 0.0000 0.0000 0.5000 [2 per cell]
S 0.0000 0.5000 0.5000 [2 per cell]
S 0.1262 0.0000 0.3620 [4 per cell]
S 0.1322 0.0000 0.7768 [4 per cell]

---

[3]
For Rb4NpS5, a cell relaxed with PBE gives the computed powder diffraction line list in this record (CuKα).
Peak positions follow from Bragg's law for the DFT cell and can differ from measured ones.

Main lines, in order of falling intensity (2θ = 10–90°):
two_theta	I/Imax	h k l
23.65	100.0	2 1 1
27.47	79.5	1 3 0
39.03	55.6	1 3 2
46.32	48.2	5 0 1
27.19	43.9	0 0 2
12.19	41.3	1 1 0
16.03	41.0	1 0 1
39.23	30.3	4 2 0
48.39	29.4	4 2 2
62.00	22.4	5 0 3
45.98	21.5	2 1 3
70.98	13.0	5 5 2

Cell: 10.2691 10.2691 6.5589 Å, 90.00 90.00 90.00°
Space group I4 (No. 79)
Unique sites:
Rb 0.1017 0.2971 0.0000 [8 per cell]
Np 0.0000 0.0000 0.4729 [2 per cell]
S 0.0000 0.0000 0.0908 [2 per cell]
S 0.0734 0.2335 0.5011 [8 per cell]

---

[4]
For RbNpSiS4, a cell relaxed with PBE gives the computed powder diffraction line list in this record (CuKα).
Peak positions follow from Bragg's law for the DFT cell and can differ from measured ones.

Main lines, in order of falling intensity (2θ = 10–90°):
two_theta	I/Imax	h k l
10.19	100.0	0 0 1
19.59	79.3	1 1 0
31.53	40.2	1 1 2
26.93	37.0	0 2 0
39.77	30.3	2 2 0
25.08	29.0	1 1 -2
32.85	28.6	2 1 -2
34.06	27.6	0 2 2
29.86	24.8	2 0 -2
34.47	23.6	1 2 -2
24.52	23.5	0 1 2
39.61	19.6	1 0 -4

Cell: 6.5236 6.6215 9.1077 Å, 90.00 107.62 90.00°
Space group P2_1/m (No. 11)
Unique sites:
Rb 0.2303 0.2500 0.4354 [2 per cell]
Np 0.2690 0.2500 0.9486 [2 per cell]
Si 0.2841 0.7500 0.1695 [2 per cell]
S 0.0893 0.7500 0.9354 [2 per cell]
S 0.0909 0.7500 0.3192 [2 per cell]
S 0.4999 0.0015 0.2064 [4 per cell]

---

[5]
For RbThNpS4, a cell relaxed with PBE gives the computed powder diffraction line list in this record (CuKα).
Peak positions follow from Bragg's law for the DFT cell and can differ from measured ones.

Main lines, in order of falling intensity (2θ = 10–90°):
two_theta	I/Imax	h k l
24.29	100.0	2 1 1
41.96	61.5	2 2 4
12.51	53.6	0 1 1
12.65	51.3	1 0 1
24.08	47.8	1 2 1
29.28	46.4	2 2 0
38.47	44.3	0 1 5
25.17	32.5	0 2 2
38.19	28.9	2 3 1
25.47	28.7	2 0 2
49.30	25.2	2 4 2
29.39	23.3	0 0 4

Cell: 8.5537 8.7053 12.1560 Å, 90.00 90.00 90.00°
Space group Imma (No. 74)
Unique sites:
Rb 0.0000 0.2500 0.1316 [4 per cell]
Th 0.0000 0.0000 0.5000 [4 per cell]
Np 0.2500 0.2500 0.7500 [4 per cell]
S 0.0000 0.0454 0.7278 [8 per cell]
S 0.2077 0.2500 0.5185 [8 per cell]

---

[6]
For Rb3Np3TlS8, a cell relaxed with PBE gives the computed powder diffraction line list in this record (CuKα).
Peak positions follow from Bragg's law for the DFT cell and can differ from measured ones.

Main lines, in order of falling intensity (2θ = 10–90°):
two_theta	I/Imax	h k l
11.69	100.0	0 0 1
29.39	85.2	2 2 -2
25.93	72.9	4 0 -2
40.44	47.1	2 2 2
29.26	43.3	4 0 0
23.50	34.8	0 0 2
43.42	29.7	6 2 -2
25.04	23.0	2 2 -1
37.33	16.6	2 2 -3
53.36	15.4	4 4 0
45.12	14.7	6 2 -3
43.58	14.7	0 4 0

Cell: 14.4579 8.3064 8.9637 Å, 90.00 122.38 90.00°
Space group C2/m (No. 12)
Unique sites:
Rb 0.0000 0.0000 0.0000 [2 per cell]
Rb 0.2500 0.2500 0.0000 [4 per cell]
Np 0.0000 0.5000 0.5000 [2 per cell]
Np 0.2500 0.2500 0.5000 [4 per cell]
Tl 0.0000 0.0000 0.5000 [2 per cell]
S 0.0285 0.2774 0.3112 [8 per cell]
S 0.2314 0.5000 0.6917 [4 per cell]
S 0.2477 0.0000 0.6879 [4 per cell]

---

[7]
For Rb3Tm2NpS6, a cell relaxed with PBE gives the computed powder diffraction line list in this record (CuKα).
Peak positions follow from Bragg's law for the DFT cell and can differ from measured ones.

Main lines, in order of falling intensity (2θ = 10–90°):
two_theta	I/Imax	h k l
29.70	100.0	1 3 1
26.43	51.9	2 0 0
11.53	42.6	0 0 1
40.44	37.3	2 0 2
44.49	33.8	0 6 0
23.17	27.5	0 0 2
50.73	19.9	3 3 -3
54.41	17.7	4 0 0
47.13	16.3	1 3 3
72.83	14.9	4 6 0
37.38	11.2	1 3 2
25.55	11.0	1 3 0

Cell: 7.0598 12.2073 8.0276 Å, 90.00 106.98 90.00°
Space group C2/m (No. 12)
Unique sites:
Rb 0.0000 0.0000 0.0000 [2 per cell]
Rb 0.0000 0.3332 0.0000 [4 per cell]
Tm 0.0000 0.1659 0.5000 [4 per cell]
Np 0.0000 0.5000 0.5000 [2 per cell]
S 0.2235 0.0000 0.6909 [4 per cell]
S 0.2338 0.3301 0.6904 [8 per cell]

---

[8]
For Rb2NpU2S6, a cell relaxed with PBE gives the computed powder diffraction line list in this record (CuKα).
Peak positions follow from Bragg's law for the DFT cell and can differ from measured ones.

Main lines, in order of falling intensity (2θ = 10–90°):
two_theta	I/Imax	h k l
29.58	100.0	2 0 -2
11.24	99.6	0 0 1
26.46	52.9	2 0 0
39.88	38.6	1 3 -3
44.65	33.5	3 3 -1
25.62	30.4	2 0 -1
22.59	30.1	0 0 2
36.93	23.3	1 3 2
46.15	19.8	0 0 4
46.27	18.7	1 3 3
54.47	17.8	4 0 0
50.57	15.3	3 3 1

Cell: 7.0217 12.1921 8.2080 Å, 90.00 106.45 90.00°
Space group C2/m (No. 12)
Unique sites:
Rb 0.0000 0.1663 0.0000 [4 per cell]
Np 0.0000 0.0000 0.5000 [2 per cell]
U 0.0000 0.3344 0.5000 [4 per cell]
S 0.2242 0.5000 0.6868 [4 per cell]
S 0.2300 0.1707 0.6857 [8 per cell]